MgMn2O4: computed XRD peak list (Cu Kα (weighted mean of Kα1 and Kα2)), based on the GGA+U geometry in the Materials Project.
Kinematic intensities with the Lorentz-polarization factor, no thermal factor.

Peak list (12 most intense, 10° ≤ 2θ ≤ 90°, by intensity)
- 2θ 24.62, I 100, hkl 1 0 -4
- 2θ 10.68, I 42, hkl 1 0 0
- 2θ 35.87, I 40, hkl 1 2 1
- 2θ 11.20, I 33, hkl 1 0 -2
- 2θ 30.77, I 29, hkl 0 0 4
- 2θ 34.04, I 28, hkl 2 0 2
- 2θ 51.85, I 28, hkl 3 2 -7
- 2θ 51.77, I 27, hkl 5 2 -5
- 2θ 50.67, I 24, hkl 0 2 5
- 2θ 21.45, I 22, hkl 2 0 0
- 2θ 36.37, I 18, hkl 2 2 -3
- 2θ 15.74, I 17, hkl 2 0 -2

Lattice parameters (Å, degrees): 11.271 5.692 15.809 90.00 132.67 90.00
Fractional positions:
Mg: 0.112 0.114 0.174
Mg: 0.112 0.886 0.674
Mg: 0.245 0.389 0.425
Mg: 0.245 0.611 0.925
Mg: 0.755 0.389 0.075
Mg: 0.755 0.611 0.575
Mg: 0.888 0.114 0.326
Mg: 0.888 0.886 0.826
Mn: 0.193 0.381 0.568
Mn: 0.193 0.619 0.068
Mn: 0.230 0.123 0.063
Mn: 0.230 0.877 0.563
Mn: 0.414 0.127 0.859
Mn: 0.414 0.873 0.359
Mn: 0.417 0.379 0.350
Mn: 0.417 0.621 0.850
Mn: 0.583 0.379 0.150
Mn: 0.583 0.621 0.650
Mn: 0.586 0.127 0.641
Mn: 0.586 0.873 0.141
Mn: 0.770 0.123 0.437
Mn: 0.770 0.877 0.937
Mn: 0.807 0.381 0.932
Mn: 0.807 0.619 0.432
O: 0.122 0.149 0.448
O: 0.122 0.851 0.948
O: 0.137 0.385 0.959
O: 0.137 0.615 0.459
O: 0.232 0.113 0.659
O: 0.232 0.887 0.159
O: 0.234 0.354 0.160
O: 0.234 0.646 0.660
O: 0.280 0.142 0.344
O: 0.280 0.858 0.844
O: 0.307 0.386 0.862
O: 0.307 0.614 0.362
O: 0.432 0.368 0.600
O: 0.432 0.632 0.100
O: 0.453 0.118 0.118
O: 0.453 0.882 0.618
O: 0.547 0.118 0.382
O: 0.547 0.882 0.882
O: 0.568 0.368 0.900
O: 0.568 0.632 0.400
O: 0.693 0.386 0.638
O: 0.693 0.614 0.138
O: 0.720 0.142 0.156
O: 0.720 0.858 0.656
O: 0.766 0.354 0.340
O: 0.766 0.646 0.840
O: 0.768 0.113 0.841
O: 0.768 0.887 0.341
O: 0.863 0.385 0.541
O: 0.863 0.615 0.041
O: 0.878 0.149 0.052
O: 0.878 0.851 0.552

***

MnH6O3F3: computed XRD peak list (Cu Kα (weighted mean of Kα1 and Kα2)), based on the GGA+U geometry in the Materials Project.
Kinematic intensities with the Lorentz-polarization factor, no thermal factor.

Peak list (12 most intense, 10° ≤ 2θ ≤ 90°, by intensity)
- 2θ 18.21, I 100, hkl 1 1 -1
- 2θ 21.12, I 85, hkl 0 0 2
- 2θ 33.62, I 60, hkl 2 2 0
- 2θ 18.48, I 48, hkl 0 2 0
- 2θ 47.31, I 23, hkl 2 4 0
- 2θ 33.94, I 22, hkl 1 3 1
- 2θ 54.47, I 15, hkl 3 3 1
- 2θ 42.99, I 11, hkl 0 0 4
- 2θ 47.15, I 11, hkl 0 2 4
- 2θ 50.78, I 9, hkl 3 3 -1
- 2θ 46.85, I 9, hkl 3 1 1
- 2θ 24.75, I 9, hkl 1 1 -2

Lattice parameters (Å, degrees): 6.529 9.600 8.582 90.00 101.20 90.00
Fractional positions:
Mn: 0.000 0.000 0.000
Mn: 0.000 0.500 0.500
Mn: 0.500 0.000 0.500
Mn: 0.500 0.500 0.000
H: 0.040 0.064 0.325
H: 0.040 0.436 0.825
H: 0.205 0.534 0.242
H: 0.205 0.966 0.742
H: 0.254 0.223 0.026
H: 0.254 0.277 0.526
H: 0.264 0.682 0.785
H: 0.264 0.818 0.285
H: 0.266 0.747 0.957
H: 0.266 0.753 0.457
H: 0.372 0.100 0.140
H: 0.372 0.400 0.640
H: 0.628 0.600 0.360
H: 0.628 0.900 0.860
H: 0.734 0.247 0.543
H: 0.734 0.253 0.043
H: 0.736 0.182 0.715
H: 0.736 0.318 0.215
H: 0.746 0.723 0.474
H: 0.746 0.777 0.974
H: 0.795 0.034 0.258
H: 0.795 0.466 0.758
H: 0.960 0.564 0.175
H: 0.960 0.936 0.675
O: 0.068 0.549 0.271
O: 0.068 0.951 0.771
O: 0.260 0.121 0.046
O: 0.260 0.379 0.546
O: 0.344 0.687 0.895
O: 0.344 0.813 0.395
O: 0.656 0.187 0.605
O: 0.656 0.313 0.105
O: 0.740 0.621 0.454
O: 0.740 0.879 0.954
O: 0.932 0.049 0.229
O: 0.932 0.451 0.729
F: 0.159 0.652 0.587
F: 0.159 0.848 0.087
F: 0.244 0.103 0.467
F: 0.244 0.397 0.967
F: 0.458 0.549 0.206
F: 0.458 0.951 0.706
F: 0.542 0.049 0.294
F: 0.542 0.451 0.794
F: 0.756 0.603 0.033
F: 0.756 0.897 0.533
F: 0.841 0.152 0.913
F: 0.841 0.348 0.413